1.
This entry pairs a crystal structure of ZnAs4H8O16 with its theoretical powder X-ray diffraction pattern. Radiation: CuKα. Structure: DFT lattice parameters and positions (PBE).

Cell and atoms:
Unit cell a=5.5569 b=7.6455 c=8.3073 alpha=97.42 beta=92.88 gamma=92.59
Space group P-1 (No. 2)
Symmetry-distinct sites (fractional):
Zn 0.0000 0.0000 0.0000 (multiplicity 1)
As 0.0986 0.2975 0.7547 (multiplicity 2)
As 0.4648 0.8059 0.8058 (multiplicity 2)
H 0.0445 0.6008 0.8217 (multiplicity 2)
H 0.2730 0.3328 0.5125 (multiplicity 2)
H 0.3318 0.4488 0.2672 (multiplicity 2)
H 0.3390 0.9640 0.2911 (multiplicity 2)
O 0.0674 0.5125 0.2009 (multiplicity 2)
O 0.0723 0.8784 0.2067 (multiplicity 2)
O 0.1252 0.2722 0.5436 (multiplicity 2)
O 0.1757 0.7859 0.8558 (multiplicity 2)
O 0.3202 0.1506 0.0348 (multiplicity 2)
O 0.3782 0.3391 0.8581 (multiplicity 2)
O 0.4719 0.3915 0.3187 (multiplicity 2)
O 0.4991 0.9701 0.6809 (multiplicity 2)

Most intense lines, 10 to 90 degrees two-theta, by intensity:
two_theta  d [Å]  Rel. int.
10.76  8.224  100
21.87  4.064  81
22.50  3.951  81
24.21  3.676  70
21.61  4.112  57
30.73  2.910  42
29.90  2.988  36
32.30  2.771  30
29.79  3.000  24
19.82  4.480  23

---

2.
This entry pairs a crystal structure of AsHOs2 with its theoretical powder X-ray diffraction pattern. Radiation: CuKα. Structure: DFT lattice parameters and positions (PBE).

Cell and atoms:
Unit cell a=4.7363 b=4.7363 c=9.6984 alpha=90.00 beta=90.00 gamma=90.00
Space group I-42d (No. 122)
Symmetry-distinct sites (fractional):
As 0.0000 0.0000 0.0000 (multiplicity 4)
H 0.0000 0.0000 0.5000 (multiplicity 4)
Os 0.1179 0.2500 0.6250 (multiplicity 8)

Most intense lines, 10 to 90 degrees two-theta, by intensity:
two_theta  d [Å]  Rel. int.
32.49  2.756  100
43.75  2.069  91
33.56  2.670  48
51.59  1.772  33
20.87  4.256  30
42.48  2.128  29
37.08  2.425  22
54.14  1.694  21
74.46  1.274  20
65.22  1.431  19

---

3.
This entry pairs a crystal structure of AsH2Os with its theoretical powder X-ray diffraction pattern. Radiation: CuKα. Structure: DFT lattice parameters and positions (PBE).

Cell and atoms:
Unit cell a=3.5694 b=3.5694 c=13.3978 alpha=90.00 beta=90.00 gamma=90.00
Space group I4_1/amd (No. 141, origin choice 2)
Symmetry-distinct sites (fractional):
As 0.0000 0.2500 0.3750 (multiplicity 4)
H 0.0000 0.0000 0.0000 (multiplicity 8)
Os 0.0000 0.2500 0.8750 (multiplicity 4)

Most intense lines, 10 to 90 degrees two-theta, by intensity:
two_theta  d [Å]  Rel. int.
38.10  2.362  100
26.61  3.349  62
54.88  1.673  44
58.61  1.575  29
25.83  3.449  24
51.18  1.785  22
87.67  1.113  19
32.10  2.788  13
78.29  1.221  12
81.51  1.181  11